[1]
Starting from a GGA-PBE-relaxed structure, the X-ray diffraction stick pattern of Ce2Be4Pt5 was simulated for Cu Ka.
No peak broadening, texture or thermal motion is included.

Crystal structure
Cell: 5.5359 9.4411 13.6330 Å, 90.00 90.00 90.00°
Space group Fmmm (No. 69)
One atom of each set of equivalent atoms:
Ce  0.0000  0.0000  0.1330 (multiplicity 8)
Be  0.0000  0.1603  0.3715 (multiplicity 16)
Pt  0.0000  0.0000  0.5000 (multiplicity 4)
Pt  0.2500  0.2500  0.0000 (multiplicity 8)
Pt  0.2500  0.2500  0.2500 (multiplicity 8)

Peak list (6 most intense, 15° ≤ 2θ ≤ 90°, in order of falling intensity)
2theta	d [Å]	intensity
37.67	2.388	100.0
32.40	2.764	73.4
27.09	3.292	51.9
38.13	2.360	48.0
42.05	2.149	37.2
26.15	3.408	36.8

---

[2]
Starting from a GGA-PBE-relaxed structure, the X-ray diffraction stick pattern of CeBe4Pt8 was simulated for Cu Ka.
No peak broadening, texture or thermal motion is included.

Crystal structure
Cell: 8.4876 8.4876 5.2064 Å, 90.00 90.00 90.00°
Space group I4/mmm (No. 139)
One atom of each set of equivalent atoms:
Ce  0.0000  0.0000  0.0000 (multiplicity 2)
Be  0.2500  0.2500  0.2500 (multiplicity 8)
Pt  0.0000  0.2274  0.5000 (multiplicity 8)
Pt  0.0000  0.3303  0.0000 (multiplicity 8)

Peak list (6 most intense, 15° ≤ 2θ ≤ 90°, in order of falling intensity)
2theta	d [Å]	intensity
42.13	2.145	100.0
29.77	3.001	85.1
34.45	2.603	82.5
46.16	1.966	57.5
36.13	2.486	49.5
77.66	1.229	41.3

---

[3]
Starting from a GGA-PBE-relaxed structure, the X-ray diffraction stick pattern of CeBe2Pt3 was simulated for Cu Ka.
No peak broadening, texture or thermal motion is included.

Crystal structure
Cell: 9.2360 9.2360 3.8276 Å, 90.00 90.00 120.00°
Space group P6/mmm (No. 191)
One atom of each set of equivalent atoms:
Ce  0.0000  0.0000  0.0000 (multiplicity 1)
Ce  0.3333  0.6667  0.5000 (multiplicity 2)
Be  0.1822  0.3644  0.0000 (multiplicity 6)
Pt  0.0000  0.2901  0.5000 (multiplicity 6)
Pt  0.0000  0.5000  0.0000 (multiplicity 3)

Peak list (6 most intense, 15° ≤ 2θ ≤ 90°, in order of falling intensity)
2theta	d [Å]	intensity
32.38	2.765	100.0
41.27	2.188	64.5
33.61	2.666	45.2
45.35	2.000	28.9
45.90	1.977	26.6
47.51	1.914	21.8

---

[4]
Starting from a GGA-PBE-relaxed structure, the X-ray diffraction stick pattern of CeBe2Pt2 was simulated for Cu Ka.
No peak broadening, texture or thermal motion is included.

Crystal structure
Cell: 5.1636 6.4378 9.7647 Å, 90.00 90.00 90.00°
Space group Fmmm (No. 69)
One atom of each set of equivalent atoms:
Ce  0.0000  0.0000  0.0000 (multiplicity 4)
Be  0.2500  0.2500  0.2500 (multiplicity 8)
Pt  0.0000  0.0000  0.3579 (multiplicity 8)

Peak list (6 most intense, 15° ≤ 2θ ≤ 90°, in order of falling intensity)
2theta	d [Å]	intensity
35.46	2.532	100.0
27.71	3.219	53.0
45.01	2.014	31.7
54.19	1.693	30.1
34.75	2.582	29.6
62.75	1.481	19.4